For BaV2IrS8, DFT lattice parameters and positions (PBE) gives the computed X-ray diffraction stick pattern in this record (Cu Kα).
Neutral-atom scattering factors, no anomalous dispersion.

Largest 10 diffraction maxima, by angle, 2θ = 10–90°:
2theta  I/Imax
10.2  16
16.9  83
19.8  35
26.7  100
29.5  55
36.2  55
40.2  38
50.6  38
52.0  41
52.3  31

Structure:
```
BaV2IrS8
1.0
6.062 0.000 0.000
-3.031 5.249 0.000
0.000 0.000 8.640
Ba V Ir S
1 2 1 8
Direct
0.000 0.000 0.000
0.333 0.667 0.733
0.667 0.333 0.267
0.000 0.000 0.500
0.003 0.688 0.337
0.312 0.316 0.337
0.316 0.003 0.663
0.333 0.667 0.980
0.667 0.333 0.020
0.684 0.997 0.337
0.688 0.684 0.663
0.997 0.312 0.663
```

=====

For BaSb12Ir4, DFT lattice parameters and positions (PBE) gives the computed X-ray diffraction stick pattern in this record (Cu Kα).
Neutral-atom scattering factors, no anomalous dispersion.

Largest 10 diffraction maxima, by angle, 2θ = 10–90°:
2theta  I/Imax
18.7  29
26.5  31
29.7  100
35.3  43
42.5  55
46.8  61
48.8  30
61.7  17
66.7  17
87.0  24

Structure:
```
BaSb12Ir4
1.0
-4.753 4.753 4.753
4.753 -4.753 4.753
4.753 4.753 -4.753
Ba Sb Ir
1 12 4
Direct
0.000 0.000 0.000
0.157 0.500 0.343
0.157 0.815 0.657
0.185 0.343 0.843
0.343 0.157 0.500
0.343 0.843 0.185
0.500 0.343 0.157
0.500 0.657 0.843
0.657 0.157 0.815
0.657 0.843 0.500
0.815 0.657 0.157
0.843 0.185 0.343
0.843 0.500 0.657
0.000 0.000 0.500
0.000 0.500 0.000
0.500 0.000 0.000
0.500 0.500 0.500
```

=====

For Ba4IrSe, DFT lattice parameters and positions (PBE) gives the computed X-ray diffraction stick pattern in this record (Cu Kα).
Neutral-atom scattering factors, no anomalous dispersion.

Largest 10 diffraction maxima, by angle, 2θ = 10–90°:
2theta  I/Imax
11.6  50
22.3  12
23.4  14
26.9  100
35.2  12
38.1  38
38.8  24
38.9  13
47.9  13
55.5  11

Structure:
```
Ba4IrSe
1.0
15.519 0.000 0.000
0.000 4.630 0.000
-1.579 0.000 8.072
Ba Ir Se
8 2 2
Direct
0.111 0.000 0.347
0.112 0.500 0.882
0.388 0.000 0.118
0.389 0.500 0.653
0.611 0.500 0.347
0.612 0.000 0.882
0.888 0.500 0.118
0.889 0.000 0.653
0.000 0.000 0.000
0.500 0.500 0.000
0.000 0.500 0.500
0.500 0.000 0.500
```

=====

For Ba8Ir2Se, DFT lattice parameters and positions (PBE) gives the computed X-ray diffraction stick pattern in this record (Cu Kα).
Neutral-atom scattering factors, no anomalous dispersion.

Largest 10 diffraction maxima, by angle, 2θ = 10–90°:
2theta  I/Imax
19.0  37
22.0  51
22.2  29
22.9  27
24.8  100
32.0  40
38.6  68
41.5  71
57.9  27
71.7  28

Structure:
```
Ba8Ir2Se
1.0
9.341 0.000 0.000
-4.670 8.089 0.000
0.000 0.000 7.755
Ba Ir Se
8 2 1
Direct
0.168 0.336 0.245
0.168 0.832 0.245
0.333 0.667 0.729
0.336 0.168 0.755
0.664 0.832 0.245
0.667 0.333 0.271
0.832 0.168 0.755
0.832 0.664 0.755
0.333 0.667 0.099
0.667 0.333 0.901
0.000 0.000 0.000
```

=====

For BaIr4Se8, DFT lattice parameters and positions (PBE) gives the computed X-ray diffraction stick pattern in this record (Cu Kα).
Neutral-atom scattering factors, no anomalous dispersion.

Largest 10 diffraction maxima, by angle, 2θ = 10–90°:
2theta  I/Imax
23.2  61
23.3  63
28.6  77
29.1  67
31.4  78
32.8  68
40.3  63
47.0  100
47.2  93
50.7  96

Structure:
```
BaIr4Se8
1.0
8.084 -1.932 0.000
8.084 1.932 0.000
-7.273 0.000 9.135
Ba Ir Se
1 4 8
Direct
0.000 0.000 0.000
0.132 0.132 0.464
0.332 0.332 0.178
0.666 0.666 0.820
0.866 0.866 0.534
0.048 0.048 0.763
0.296 0.296 0.932
0.334 0.334 0.648
0.392 0.392 0.427
0.606 0.606 0.570
0.665 0.665 0.350
0.702 0.702 0.066
0.950 0.950 0.234
```

=====

For BaSi2Ir2, DFT lattice parameters and positions (PBE) gives the computed X-ray diffraction stick pattern in this record (Cu Kα).
Neutral-atom scattering factors, no anomalous dispersion.

Largest 10 diffraction maxima, by angle, 2θ = 10–90°:
2theta  I/Imax
17.2  37
17.4  16
28.1  46
28.4  58
31.1  100
32.7  43
36.3  30
37.1  30
48.7  19
57.3  16

Structure:
```
BaSi2Ir2
1.0
7.977 0.000 0.000
0.000 6.760 0.000
-0.257 0.000 7.784
Ba Si Ir
4 8 8
Direct
0.235 0.120 0.499
0.235 0.380 0.999
0.765 0.620 0.001
0.765 0.880 0.501
0.073 0.581 0.370
0.073 0.919 0.870
0.437 0.647 0.687
0.437 0.853 0.187
0.563 0.147 0.813
0.563 0.353 0.313
0.927 0.081 0.130
0.927 0.419 0.630
0.138 0.667 0.669
0.138 0.833 0.169
0.378 0.606 0.386
0.378 0.894 0.886
0.622 0.106 0.114
0.622 0.394 0.614
0.862 0.167 0.831
0.862 0.333 0.331
```

=====

For Ba2Si4Ir3, DFT lattice parameters and positions (PBE) gives the computed X-ray diffraction stick pattern in this record (Cu Kα).
Neutral-atom scattering factors, no anomalous dispersion.

Largest 10 diffraction maxima, by angle, 2θ = 10–90°:
2theta  I/Imax
13.0  100
21.8  15
26.2  46
35.2  65
36.4  35
37.7  47
44.4  17
51.5  15
54.0  35
65.9  16

Structure:
```
Ba2Si4Ir3
1.0
0.000 5.090 6.830
2.944 0.000 6.830
2.944 5.090 0.000
Ba Si Ir
2 4 3
Direct
0.143 0.143 0.857
0.857 0.857 0.143
0.205 0.542 0.458
0.458 0.795 0.205
0.542 0.205 0.795
0.795 0.458 0.542
0.000 0.000 0.500
0.500 0.500 0.000
0.500 0.500 0.500
```

=====

For BaSn3Ir3, DFT lattice parameters and positions (PBE) gives the computed X-ray diffraction stick pattern in this record (Cu Kα).
Neutral-atom scattering factors, no anomalous dispersion.

Largest 10 diffraction maxima, by angle, 2θ = 10–90°:
2theta  I/Imax
17.1  30
24.3  42
29.9  100
42.8  42
46.4  60
49.8  36
70.4  18
73.1  23
80.9  19
88.5  17

Structure:
```
BaSn3Ir3
1.0
7.326 0.000 0.000
0.000 7.326 0.000
0.000 0.000 7.326
Ba Sn Ir
2 6 6
Direct
0.000 0.000 0.000
0.500 0.500 0.500
0.000 0.250 0.500
0.000 0.750 0.500
0.250 0.500 0.000
0.500 0.000 0.250
0.500 0.000 0.750
0.750 0.500 0.000
0.000 0.500 0.250
0.000 0.500 0.750
0.250 0.000 0.500
0.500 0.250 0.000
0.500 0.750 0.000
0.750 0.000 0.500
```

=====

Question: What is the formula in the first record?
Answer: BaV2IrS8

=====

Repeat the first record exactly.
For BaV2IrS8, DFT lattice parameters and positions (PBE) gives the computed X-ray diffraction stick pattern in this record (Cu Kα).
Neutral-atom scattering factors, no anomalous dispersion.

Largest 10 diffraction maxima, by angle, 2θ = 10–90°:
2theta  I/Imax
10.2  16
16.9  83
19.8  35
26.7  100
29.5  55
36.2  55
40.2  38
50.6  38
52.0  41
52.3  31

Structure:
```
BaV2IrS8
1.0
6.062 0.000 0.000
-3.031 5.249 0.000
0.000 0.000 8.640
Ba V Ir S
1 2 1 8
Direct
0.000 0.000 0.000
0.333 0.667 0.733
0.667 0.333 0.267
0.000 0.000 0.500
0.003 0.688 0.337
0.312 0.316 0.337
0.316 0.003 0.663
0.333 0.667 0.980
0.667 0.333 0.020
0.684 0.997 0.337
0.688 0.684 0.663
0.997 0.312 0.663
```